Starting from a DFT-relaxed cell (PBE, Alexandria), the X-ray diffraction stick pattern of TcOsRu2 was simulated for Cu Kα X-rays.
Peak positions follow from Bragg's law for the DFT cell and can differ from measured ones.

Atomic structure:
```
data_TcOsRu2
_chemical_formula_sum 'Tc1 Os1 Ru2'
_cell_length_a 4.7037
_cell_length_b 4.7037
_cell_length_c 2.7171
_cell_angle_alpha 90.00
_cell_angle_beta 90.00
_cell_angle_gamma 109.30
_space_group_name_H-M_alt 'P 1'
_space_group_IT_number 1
loop_
_space_group_symop_operation_xyz
'x,y,z'
loop_
_atom_site_label
_atom_site_type_symbol
_atom_site_fract_x
_atom_site_fract_y
_atom_site_fract_z
Tc1 Tc 0.0000 0.0000 0.0000
Os1 Os 0.5000 0.5000 0.0000
Ru1 Ru 0.0000 0.5000 0.5000
Ru2 Ru 0.5000 0.0000 0.5000
```

Top 12 peaks for 10° ≤ 2θ ≤ 90°, in order of rising 2θ:
| 2theta | I/Imax |
| --- | --- |
| 20.00 | 8.6 |
| 23.18 | 2.7 |
| 38.88 | 5.2 |
| 40.67 | 100.0 |
| 47.27 | 32.4 |
| 47.39 | 16.1 |
| 69.02 | 5.2 |
| 69.17 | 25.6 |
| 83.37 | 24.7 |
| 83.55 | 12.3 |
| 87.99 | 5.5 |
| 88.11 | 5.5 |